Starting from a cell relaxed with GGA-PBE, the XRD peak list of CaSc2 was calculated for Cu Kα (λ = 1.5418 Å).

Main lines, by angle (10° ≤ 2θ ≤ 80°):
2theta	intensity	hkl
31.35	98	0 6 1
32.02	100	1 1 1
33.95	82	1 5 0
34.32	35	1 3 1
35.87	55	0 0 2
38.98	24	0 8 1
50.22	48	1 5 2
63.51	26	2 6 1

Atomic structure:
```
data_CaSc2
_space_group_name_H-M_alt 'C m c m'
_space_group_IT_number 63
_space_group_name_Hall '-C 2c 2'
_cell_length_a 3.413
_cell_length_b 20.840
_cell_length_c 5.007
_cell_angle_alpha 90.00
_cell_angle_beta 90.00
_cell_angle_gamma 90.00
loop_
_atom_site_label
_atom_site_fract_x
_atom_site_fract_y
_atom_site_fract_z
Ca1 0.000 0.196 0.250
Sc1 0.000 0.037 0.250
Sc2 0.000 0.404 0.250
```



Starting from a cell relaxed with GGA-PBE, the XRD peak list of CaSc3 was calculated for Cu Kα (λ = 1.5418 Å).

Main lines, by angle (10° ≤ 2θ ≤ 80°):
2theta	intensity	hkl
32.23	100	1 1 1
37.39	49	2 0 0
53.91	30	2 2 0
64.21	34	3 1 1
67.44	10	2 2 2
79.73	4	4 0 0

Atomic structure:
```
data_CaSc3
_space_group_name_H-M_alt 'P m -3 m'
_space_group_IT_number 221
_space_group_name_Hall '-P 4 2 3'
_cell_length_a 4.811
_cell_length_b 4.811
_cell_length_c 4.811
_cell_angle_alpha 90.00
_cell_angle_beta 90.00
_cell_angle_gamma 90.00
loop_
_atom_site_label
_atom_site_fract_x
_atom_site_fract_y
_atom_site_fract_z
Ca1 0.000 0.000 0.000
Sc1 0.000 0.500 0.500
```



Number 2 is which compound?
CaSc3